Record 1
The following is a theoretical powder X-ray diffraction pattern of La2TlInPd4. It was derived from DFT lattice parameters and positions (GGA-PBE), using Cu Ka.

Most intense lines, 10° ≤ 2θ ≤ 90°, in order of rising 2θ:
(hkl)  2θ/deg  I_rel
1 0 2  29.16  48
1 0 3  36.52  82
1 1 0  38.13  100
0 2 3  53.82  27
0 1 6  64.66  18
2 1 3  67.86  26
3 0 0  68.90  17
1 2 6  89.93  15

Atomic structure:
```
data_La2TlInPd4
_chemical_formula_sum 'La2 Tl1 In1 Pd4'
_cell_length_a 4.7207
_cell_length_b 4.7207
_cell_length_c 9.2421
_cell_angle_alpha 90.00
_cell_angle_beta 90.00
_cell_angle_gamma 120.00
_space_group_name_H-M_alt 'P -3 m 1'
_space_group_IT_number 164
_space_group_name_Hall '-P 3 2"'
loop_
_atom_site_label
_atom_site_fract_x
_atom_site_fract_y
_atom_site_fract_z
La1 0.3333 0.6667 0.2501
Tl1 0.0000 0.0000 0.0000
In1 0.0000 0.0000 0.5000
Pd1 0.3333 0.6667 0.5829
Pd2 0.3333 0.6667 0.9109
```

=====

Record 2
The following is a theoretical powder X-ray diffraction pattern of NbMoS4. It was derived from DFT lattice parameters and positions (GGA-PBE), using Cu Ka.

Most intense lines, 10° ≤ 2θ ≤ 90°, in order of rising 2θ:
(hkl)  2θ/deg  I_rel
0 2 0  13.67  100
1 1 1  32.26  33
0 2 2  34.51  18
1 3 1  37.91  46
0 4 2  42.35  22
1 5 1  47.49  27
1 1 3  56.62  18
2 4 2  72.73  12

Atomic structure:
```
data_NbMoS4
_chemical_formula_sum 'Nb2 Mo2 S8'
_cell_length_a 3.281
_cell_length_b 12.959
_cell_length_c 5.674
_cell_angle_alpha 90.00
_cell_angle_beta 90.00
_cell_angle_gamma 90.00
_space_group_name_H-M_alt 'C m m 2'
_space_group_IT_number 35
_space_group_name_Hall 'C 2 -2'
loop_
_atom_site_label
_atom_site_fract_x
_atom_site_fract_y
_atom_site_fract_z
Nb1 0.000 0.000 0.000
Mo1 0.000 0.500 0.493
S1 0.000 0.119 0.658
S2 0.000 0.379 0.168
```

=====

Record 3
The following is a theoretical powder X-ray diffraction pattern of Fe2Tc. It was derived from DFT lattice parameters and positions (GGA-PBE), using Cu Ka.

Most intense lines, 10° ≤ 2θ ≤ 90°, in order of rising 2θ:
(hkl)  2θ/deg  I_rel
1 1 1  23.44  2
2 2 0  38.75  49
3 1 1  45.79  100
2 2 2  47.95  23
3 3 1  61.50  1
4 2 2  70.15  16
5 1 1  75.11  28
4 4 0  83.14  22

Atomic structure:
a b c (Å): 6.572 6.572 6.572
angles (deg): 90.00 90.00 90.00
Space group Fd-3m (No. 227, origin choice 2)
Inequivalent atoms, fractional coordinates:
Fe1 0.000 0.000 0.000
Tc1 0.125 0.125 0.625

=====

Record 4
The following is a theoretical powder X-ray diffraction pattern of Dy2Tm2CI5. It was derived from DFT lattice parameters and positions (GGA-PBE), using Cu Ka.

Most intense lines, 10° ≤ 2θ ≤ 90°, in order of rising 2θ:
(hkl)  2θ/deg  I_rel
0 0 1  10.59  38
6 0 0  28.48  39
3 1 1  29.95  22
1 1 -2  30.84  100
5 1 0  32.95  40
5 1 2  42.36  21
7 1 -2  42.59  22
0 2 0  46.05  19

Atomic structure:
```
data_Dy2Tm2CI5
_chemical_formula_sum 'Dy4 Tm4 C2 I10'
_cell_length_a 19.254
_cell_length_b 3.942
_cell_length_c 8.557
_cell_angle_alpha 90.00
_cell_angle_beta 102.40
_cell_angle_gamma 90.00
_space_group_name_H-M_alt 'C 1 2/m 1'
_space_group_IT_number 12
_space_group_name_Hall '-C 2y'
loop_
_atom_site_label
_atom_site_fract_x
_atom_site_fract_y
_atom_site_fract_z
Dy1 0.000 0.000 0.190
Tm1 0.125 0.500 0.062
C1 0.000 0.500 0.000
I1 0.000 0.500 0.500
I2 0.163 0.000 0.333
I3 0.166 0.000 0.828
```

=====

Record 5
The following is a theoretical powder X-ray diffraction pattern of HfCl4. It was derived from DFT lattice parameters and positions (GGA-PBE), using Cu Ka.

Most intense lines, 10° ≤ 2θ ≤ 90°, in order of rising 2θ:
(hkl)  2θ/deg  I_rel
1 1 1  15.94  100
2 2 0  21.33  51
1 3 1  26.16  29
3 1 1  27.31  22
2 0 2  28.59  20
2 4 2  41.40  18
4 2 2  42.56  28
4 4 0  43.43  22

Atomic structure:
```
data_HfCl4
_chemical_formula_sum 'Hf8 Cl32'
_cell_length_a 11.413
_cell_length_b 12.191
_cell_length_c 7.461
_cell_angle_alpha 90.00
_cell_angle_beta 90.00
_cell_angle_gamma 90.00
_space_group_name_H-M_alt 'F d d 2'
_space_group_IT_number 43
_space_group_name_Hall 'F 2 -2d'
loop_
_atom_site_label
_atom_site_fract_x
_atom_site_fract_y
_atom_site_fract_z
Hf1 0.000 0.000 0.000
Cl1 0.114 0.087 0.277
Cl2 0.123 0.086 0.801
```

=====

Record 6
The following is a theoretical powder X-ray diffraction pattern of Mo2Ir3Pd3. It was derived from DFT lattice parameters and positions (GGA-PBE), using Cu Ka.

Most intense lines, 10° ≤ 2θ ≤ 90°, in order of rising 2θ:
(hkl)  2θ/deg  I_rel
1 1 -1  27.32  18
2 0 0  37.48  23
2 0 -2  37.68  28
0 2 0  40.33  69
0 1 2  42.54  100
2 1 0  42.77  86
2 1 -2  42.95  77
0 3 2  74.85  19

Atomic structure:
```
data_Mo2Ir3Pd3
_chemical_formula_sum 'Mo2 Ir3 Pd3'
_cell_length_a 5.511
_cell_length_b 4.473
_cell_length_c 5.546
_cell_angle_alpha 90.00
_cell_angle_beta 119.44
_cell_angle_gamma 90.00
_space_group_name_H-M_alt 'P 1 m 1'
_space_group_IT_number 6
_space_group_name_Hall 'P -2y'
loop_
_atom_site_label
_atom_site_fract_x
_atom_site_fract_y
_atom_site_fract_z
Mo1 0.000 0.000 0.000
Mo2 0.341 0.500 0.689
Ir1 0.006 0.000 0.506
Ir2 0.503 0.000 0.001
Ir3 0.842 0.500 0.691
Pd1 0.336 0.500 0.186
Pd2 0.504 0.000 0.508
Pd3 0.841 0.500 0.188
```

=====

Record 7
The following is a theoretical powder X-ray diffraction pattern of ReNCl3. It was derived from DFT lattice parameters and positions (GGA-PBE), using Cu Ka.

Most intense lines, 10° ≤ 2θ ≤ 90°, in order of rising 2θ:
(hkl)  2θ/deg  I_rel
1 0 0  12.72  100
1 -1 0  13.48  36
2 -1 0  23.42  24
0 2 -1  23.74  22
-1 1 2  23.78  38
0 1 2  27.18  25
0 2 -2  27.91  29
3 -1 0  35.53  25

Atomic structure:
```
data_ReNCl3
_chemical_formula_sum 'Re4 N4 Cl12'
_cell_length_a 8.022
_cell_length_b 8.135
_cell_length_c 9.062
_cell_angle_alpha 96.93
_cell_angle_beta 108.24
_cell_angle_gamma 110.23
_space_group_name_H-M_alt 'P -1'
_space_group_IT_number 2
_space_group_name_Hall '-P 1'
loop_
_atom_site_label
_atom_site_fract_x
_atom_site_fract_y
_atom_site_fract_z
Re1 0.012 0.050 0.227
Re2 0.123 0.354 0.616
N1 0.050 0.163 0.685
N2 0.054 0.212 0.391
Cl1 0.057 0.224 0.040
Cl2 0.187 0.627 0.472
Cl3 0.224 0.574 0.844
Cl4 0.317 0.047 0.898
Cl5 0.320 0.067 0.292
Cl6 0.434 0.396 0.663
```

=====

What did the second record say?
The following is a theoretical powder X-ray diffraction pattern of NbMoS4. It was derived from DFT lattice parameters and positions (GGA-PBE), using Cu Ka.

Most intense lines, 10° ≤ 2θ ≤ 90°, in order of rising 2θ:
(hkl)  2θ/deg  I_rel
0 2 0  13.67  100
1 1 1  32.26  33
0 2 2  34.51  18
1 3 1  37.91  46
0 4 2  42.35  22
1 5 1  47.49  27
1 1 3  56.62  18
2 4 2  72.73  12

Atomic structure:
```
data_NbMoS4
_chemical_formula_sum 'Nb2 Mo2 S8'
_cell_length_a 3.281
_cell_length_b 12.959
_cell_length_c 5.674
_cell_angle_alpha 90.00
_cell_angle_beta 90.00
_cell_angle_gamma 90.00
_space_group_name_H-M_alt 'C m m 2'
_space_group_IT_number 35
_space_group_name_Hall 'C 2 -2'
loop_
_atom_site_label
_atom_site_fract_x
_atom_site_fract_y
_atom_site_fract_z
Nb1 0.000 0.000 0.000
Mo1 0.000 0.500 0.493
S1 0.000 0.119 0.658
S2 0.000 0.379 0.168
```

=====

Copy entry 5 word for word.
The following is a theoretical powder X-ray diffraction pattern of HfCl4. It was derived from DFT lattice parameters and positions (GGA-PBE), using Cu Ka.

Most intense lines, 10° ≤ 2θ ≤ 90°, in order of rising 2θ:
(hkl)  2θ/deg  I_rel
1 1 1  15.94  100
2 2 0  21.33  51
1 3 1  26.16  29
3 1 1  27.31  22
2 0 2  28.59  20
2 4 2  41.40  18
4 2 2  42.56  28
4 4 0  43.43  22

Atomic structure:
```
data_HfCl4
_chemical_formula_sum 'Hf8 Cl32'
_cell_length_a 11.413
_cell_length_b 12.191
_cell_length_c 7.461
_cell_angle_alpha 90.00
_cell_angle_beta 90.00
_cell_angle_gamma 90.00
_space_group_name_H-M_alt 'F d d 2'
_space_group_IT_number 43
_space_group_name_Hall 'F 2 -2d'
loop_
_atom_site_label
_atom_site_fract_x
_atom_site_fract_y
_atom_site_fract_z
Hf1 0.000 0.000 0.000
Cl1 0.114 0.087 0.277
Cl2 0.123 0.086 0.801
```